For TlCoO3, a cell relaxed with GGA+U gives the computed XRD peak list in this record (Cu Kα, 1.54184 Å).
No peak broadening, texture or thermal motion is included.

The 12 most intense peaks (10 to 80 degrees two-theta), by intensity:
- 2θ 31.20, intensity 100
- 2θ 34.30, intensity 82
- 2θ 20.51, intensity 49
- 2θ 47.04, intensity 36
- 2θ 59.50, intensity 35
- 2θ 36.24, intensity 28
- 2θ 61.42, intensity 22
- 2θ 38.98, intensity 18
- 2θ 67.22, intensity 16
- 2θ 53.47, intensity 16
- 2θ 40.29, intensity 15
- 2θ 50.75, intensity 13

Structure:
Cell: 5.787 5.787 5.787 Å, 53.72 53.72 53.72°
Atoms (fractional coordinates):
Tl1 0.127 0.127 0.127
Tl2 0.873 0.873 0.873
Co1 0.339 0.339 0.339
Co2 0.661 0.661 0.661
O1 0.056 0.690 0.470
O2 0.310 0.530 0.944
O3 0.470 0.056 0.690
O4 0.530 0.944 0.310
O5 0.690 0.470 0.056
O6 0.944 0.310 0.530



For MgMn2V4O12, a cell relaxed with GGA+U gives the computed XRD peak list in this record (Cu Kα, 1.54184 Å).
No peak broadening, texture or thermal motion is included.

The 12 most intense peaks (10 to 80 degrees two-theta), by intensity:
- 2θ 27.16, intensity 100
- 2θ 28.61, intensity 50
- 2θ 34.00, intensity 38
- 2θ 51.50, intensity 38
- 2θ 13.14, intensity 21
- 2θ 24.15, intensity 18
- 2θ 44.00, intensity 16
- 2θ 19.40, intensity 16
- 2θ 60.76, intensity 14
- 2θ 25.78, intensity 14
- 2θ 53.47, intensity 12
- 2θ 35.38, intensity 12

Structure:
Cell: 5.786 7.122 7.126 Å, 79.91 71.63 71.63°
Atoms (fractional coordinates):
Mg1 0.000 0.000 0.000
Mn1 0.000 0.354 0.645
Mn2 0.500 0.177 0.823
V1 0.050 0.867 0.548
V2 0.445 0.646 0.942
V3 0.556 0.056 0.355
V4 0.950 0.454 0.132
O1 0.009 0.642 0.645
O2 0.088 0.271 0.945
O3 0.112 0.666 0.050
O4 0.381 0.882 0.417
O5 0.410 0.894 0.857
O6 0.420 0.227 0.531
O7 0.580 0.469 0.773
O8 0.592 0.142 0.107
O9 0.619 0.584 0.117
O10 0.888 0.949 0.337
O11 0.913 0.056 0.729
O12 0.991 0.359 0.357



For MnP2HO8, a cell relaxed with GGA+U gives the computed XRD peak list in this record (Cu Kα, 1.54184 Å).
No peak broadening, texture or thermal motion is included.

The 12 most intense peaks (10 to 80 degrees two-theta), by intensity:
- 2θ 13.51, intensity 100
- 2θ 20.55, intensity 99
- 2θ 19.31, intensity 93
- 2θ 18.45, intensity 65
- 2θ 28.00, intensity 58
- 2θ 26.09, intensity 53
- 2θ 23.24, intensity 47
- 2θ 25.53, intensity 45
- 2θ 41.81, intensity 40
- 2θ 34.02, intensity 33
- 2θ 34.41, intensity 33
- 2θ 35.68, intensity 14

Structure:
Cell: 7.861 5.746 10.530 Å, 90.00 123.50 90.00°
Atoms (fractional coordinates):
Mn1 0.000 0.000 0.000
Mn2 0.000 0.500 0.500
P1 0.238 0.238 0.838
P2 0.238 0.262 0.338
P3 0.762 0.738 0.662
P4 0.762 0.762 0.162
H1 0.500 0.000 0.500
H2 0.500 0.500 0.000
O1 0.082 0.092 0.838
O2 0.082 0.408 0.338
O3 0.170 0.720 0.568
O4 0.170 0.780 0.068
O5 0.231 0.206 0.197
O6 0.231 0.294 0.697
O7 0.415 0.179 0.490
O8 0.415 0.321 0.990
O9 0.585 0.679 0.010
O10 0.585 0.821 0.510
O11 0.769 0.706 0.303
O12 0.769 0.794 0.803
O13 0.830 0.220 0.932
O14 0.830 0.280 0.432
O15 0.918 0.592 0.662
O16 0.918 0.908 0.162